For SmMgCdGa, a structure optimized by DFT (PBE) gives the theoretical XRD peak list in this record (Cu Kα, 1.54184 Å).

Main lines, in order of rising 2θ (2θ from 5° to 70°):
21.5 deg, I = 30, hkl 1 1 1; 35.4 deg, I = 100, hkl 2 2 0; 41.8 deg, I = 16, hkl 3 1 1; 50.9 deg, I = 17, hkl 4 0 0; 55.9 deg, I = 7, hkl 3 3 1; 63.6 deg, I = 35, hkl 4 2 2; 67.9 deg, I = 5, hkl 5 1 1

Atomic structure:
```
16
Lattice="7.1698 0.0000 0.0000 0.0000 7.1698 0.0000 0.0000 0.0000 7.1698" Properties=species:S:1:pos:R:3 pbc="T T T"
Sm 0.0000 0.0000 0.0000
Sm 0.0000 3.5849 3.5849
Sm 3.5849 0.0000 3.5849
Sm 3.5849 3.5849 0.0000
Mg 0.0000 0.0000 3.5849
Mg 0.0000 3.5849 0.0000
Mg 3.5849 0.0000 0.0000
Mg 3.5849 3.5849 3.5849
Cd 1.7924 1.7924 5.3773
Cd 1.7924 5.3773 1.7924
Cd 5.3773 1.7924 1.7924
Cd 5.3773 5.3773 5.3773
Ga 1.7924 1.7924 1.7924
Ga 1.7924 5.3773 5.3773
Ga 5.3773 1.7924 5.3773
Ga 5.3773 5.3773 1.7924
```